Structure and computed XRD peak list of Al3CrO6 (the GGA+U geometry in Alexandria; copper Kα).
Peak positions follow from Bragg's law for the DFT cell and can differ from measured ones.

Crystal structure
```
data_Al3CrO6
_chemical_formula_sum 'Al6 Cr2 O12'
_symmetry_space_group_name_H-M 'P 1 c 1'
_symmetry_Int_Tables_number 7
_symmetry_space_group_name_Hall 'P -2yc'
_cell_length_a 5.244
_cell_length_b 4.878
_cell_length_c 7.183
_cell_angle_alpha 90.00
_cell_angle_beta 95.69
_cell_angle_gamma 90.00
loop_
_atom_site_label
_atom_site_fract_x
_atom_site_fract_y
_atom_site_fract_z
Al1 0.000 0.001 0.000
Al2 0.508 0.498 0.497
Al3 0.912 0.497 0.294
Cr1 0.407 0.002 0.796
O1 0.044 0.154 0.741
O2 0.206 0.311 0.401
O3 0.352 0.166 0.044
O4 0.560 0.364 0.742
O5 0.718 0.201 0.403
O6 0.860 0.342 0.050
```

Most intense lines, 2θ from 10° to 80°, by angle:
d (Å), 2theta, I_rel, (hkl)
3.567, 24.96, 701, 1 1 0
2.612, 34.33, 1000, 1 1 -2
2.441, 36.82, 592, 1 1 2
2.138, 42.27, 649, 0 1 3
1.787, 51.12, 158, 0 0 4
1.782, 51.27, 305, 2 2 0
1.642, 55.99, 309, 1 1 -4
1.639, 56.12, 613, 2 2 -2
1.441, 64.71, 256, 0 2 4
1.439, 64.78, 126, 3 1 2
1.409, 66.32, 528, 2 0 4
1.268, 74.89, 115, 3 1 -4